Ga2CoSe2S2: calculated X-ray powder pattern (λ = 1.5418 Å (Cu Kα)), based on the PBE geometry in OQMD.
Neutral-atom scattering factors, no anomalous dispersion.

Peak list (10 most intense, 5 to 70 degrees two-theta, in order of falling intensity)
| Position (°2θ) | I_rel |
| --- | --- |
| 28.3 | 100 |
| 28.8 | 86 |
| 47.8 | 61 |
| 47.5 | 43 |
| 46.6 | 23 |
| 56.8 | 23 |
| 23.4 | 18 |
| 16.6 | 15 |
| 57.0 | 14 |
| 30.0 | 14 |

Cell and atoms:
Lattice parameters (Å, degrees): 7.5989 10.7042 5.4164 90.00 133.97 90.00
Element x y z (fractional)
Ga  0.0000  0.0000  0.0000
Ga  0.0000  0.2415  0.5000
Ga  0.5000  0.5000  0.0000
Ga  0.5000  0.7415  0.5000
Co  0.0000  0.7377  0.5000
Co  0.5000  0.2377  0.5000
Se  0.2392  0.3742  0.0131
Se  0.2608  0.8742  0.9869
Se  0.7392  0.8742  0.0131
Se  0.7608  0.3742  0.9869
S  0.2466  0.6173  0.4988
S  0.2534  0.1173  0.5012
S  0.7466  0.1173  0.4988
S  0.7534  0.6173  0.5012

---

GaCo2Se2S: calculated X-ray powder pattern (λ = 1.5418 Å (Cu Kα)), based on the PBE geometry in OQMD.
Neutral-atom scattering factors, no anomalous dispersion.

Peak list (10 most intense, 5 to 70 degrees two-theta, in order of falling intensity)
| Position (°2θ) | I_rel |
| --- | --- |
| 28.6 | 100 |
| 47.9 | 66 |
| 28.9 | 52 |
| 28.4 | 47 |
| 47.2 | 46 |
| 56.5 | 25 |
| 47.7 | 20 |
| 56.7 | 19 |
| 56.2 | 13 |
| 69.9 | 12 |

Cell and atoms:
Lattice parameters (Å, degrees): 6.6257 6.6257 6.5743 100.00 100.00 119.41
Element x y z (fractional)
Ga  0.0874  0.9126  0.5000
Ga  0.9126  0.0874  0.0000
Co  0.2458  0.7174  0.9953
Co  0.3958  0.5420  0.4752
Co  0.5420  0.3958  0.9752
Co  0.7174  0.2458  0.4953
Se  0.1148  0.5901  0.6160
Se  0.5901  0.1148  0.1160
Se  0.7544  0.9385  0.5991
Se  0.9385  0.7544  0.0991
S  0.2922  0.4528  0.1202
S  0.4528  0.2922  0.6202

---

Ga2CoSe3S: calculated X-ray powder pattern (λ = 1.5418 Å (Cu Kα)), based on the PBE geometry in OQMD.
Neutral-atom scattering factors, no anomalous dispersion.

Peak list (10 most intense, 5 to 70 degrees two-theta, in order of falling intensity)
| Position (°2θ) | I_rel |
| --- | --- |
| 28.4 | 100 |
| 47.0 | 48 |
| 28.0 | 39 |
| 46.5 | 17 |
| 47.3 | 15 |
| 47.5 | 15 |
| 55.6 | 15 |
| 18.2 | 12 |
| 29.8 | 10 |
| 55.9 | 9 |

Cell and atoms:
Lattice parameters (Å, degrees): 5.4896 5.4987 6.6273 65.55 65.79 89.36
Element x y z (fractional)
Ga  0.0000  0.0000  0.0000
Ga  0.2421  0.7540  0.4905
Co  0.4864  0.5123  0.0016
Se  0.3966  0.3748  0.7355
Se  0.6223  0.1418  0.2616
Se  0.8540  0.8990  0.7348
S  0.1208  0.6241  0.2465

---

Sm3GaCoS7: calculated X-ray powder pattern (λ = 1.5418 Å (Cu Kα)), based on the PBE geometry in OQMD.
Neutral-atom scattering factors, no anomalous dispersion.

Peak list (10 most intense, 5 to 70 degrees two-theta, in order of falling intensity)
| Position (°2θ) | I_rel |
| --- | --- |
| 25.6 | 100 |
| 37.0 | 37 |
| 36.1 | 31 |
| 35.1 | 27 |
| 49.2 | 22 |
| 40.7 | 21 |
| 17.8 | 21 |
| 28.1 | 18 |
| 41.4 | 16 |
| 45.6 | 15 |

Cell and atoms:
Lattice parameters (Å, degrees): 9.7136 9.7136 6.1837 90.00 90.00 120.00
Element x y z (fractional)
Sm  0.1549  0.7813  0.0000
Sm  0.2187  0.3736  0.0000
Sm  0.3736  0.1549  0.5000
Sm  0.6264  0.8451  0.0000
Sm  0.7813  0.6264  0.5000
Sm  0.8451  0.2187  0.5000
Ga  0.3333  0.6667  0.4234
Ga  0.6667  0.3333  0.9234
Co  0.0000  0.0000  0.3396
Co  0.0000  0.0000  0.8396
S  0.0873  0.5201  0.2729
S  0.0928  0.8740  0.5929
S  0.1260  0.2188  0.5929
S  0.2188  0.0928  0.0929
S  0.3333  0.6667  0.7877
S  0.4329  0.9127  0.2729
S  0.4799  0.5671  0.2729
S  0.5201  0.4329  0.7729
S  0.5671  0.0873  0.7729
S  0.6667  0.3333  0.2877
S  0.7812  0.9072  0.5929
S  0.8740  0.7812  0.0929
S  0.9072  0.1260  0.0929
S  0.9127  0.4799  0.7729

---

GaCoSi3: calculated X-ray powder pattern (λ = 1.5418 Å (Cu Kα)), based on the PBE geometry in OQMD.
Neutral-atom scattering factors, no anomalous dispersion.

Peak list (10 most intense, 5 to 70 degrees two-theta, in order of falling intensity)
| Position (°2θ) | I_rel |
| --- | --- |
| 38.7 | 100 |
| 6.5 | 99 |
| 48.4 | 77 |
| 40.1 | 42 |
| 31.0 | 37 |
| 29.4 | 33 |
| 49.5 | 30 |
| 33.7 | 28 |
| 57.8 | 18 |
| 65.5 | 18 |

Cell and atoms:
Lattice parameters (Å, degrees): 13.6247 13.6247 3.1896 90.00 90.00 164.47
Element x y z (fractional)
Ga  0.1280  0.8720  0.0000
Ga  0.8720  0.1280  0.0000
Co  0.2839  0.7161  0.5000
Co  0.7161  0.2839  0.5000
Si  0.0478  0.9522  0.5000
Si  0.2194  0.7806  0.0000
Si  0.4553  0.5447  0.0000
Si  0.5447  0.4553  0.0000
Si  0.7806  0.2194  0.0000
Si  0.9522  0.0478  0.5000

---

Sm8Ga3Co: calculated X-ray powder pattern (λ = 1.5418 Å (Cu Kα)), based on the PBE geometry in OQMD.
Neutral-atom scattering factors, no anomalous dispersion.

Peak list (10 most intense, 5 to 70 degrees two-theta, in order of falling intensity)
| Position (°2θ) | I_rel |
| --- | --- |
| 32.6 | 100 |
| 34.9 | 94 |
| 29.4 | 48 |
| 30.9 | 23 |
| 32.8 | 20 |
| 48.5 | 17 |
| 60.2 | 16 |
| 23.7 | 15 |
| 64.5 | 13 |
| 54.0 | 12 |

Cell and atoms:
Lattice parameters (Å, degrees): 10.2868 10.2868 6.9898 90.00 90.00 120.00
Element x y z (fractional)
Sm  0.0000  0.0000  0.0000
Sm  0.0000  0.0000  0.5000
Sm  0.0750  0.5375  0.0224
Sm  0.1714  0.3427  0.7197
Sm  0.1714  0.8286  0.7197
Sm  0.3333  0.6667  0.4062
Sm  0.3427  0.1714  0.2197
Sm  0.4625  0.5375  0.0224
Sm  0.4625  0.9250  0.0224
Sm  0.5375  0.0750  0.5224
Sm  0.5375  0.4625  0.5224
Sm  0.6573  0.8286  0.7197
Sm  0.6667  0.3333  0.9062
Sm  0.8286  0.1714  0.2197
Sm  0.8286  0.6573  0.2197
Sm  0.9250  0.4625  0.5224
Ga  0.1639  0.3279  0.2685
Ga  0.1639  0.8361  0.2685
Ga  0.3279  0.1639  0.7685
Ga  0.6721  0.8361  0.2685
Ga  0.8361  0.1639  0.7685
Ga  0.8361  0.6721  0.7685
Co  0.3333  0.6667  0.7884
Co  0.6667  0.3333  0.2884

---

Sm2Ga8Co: calculated X-ray powder pattern (λ = 1.5418 Å (Cu Kα)), based on the PBE geometry in OQMD.
Neutral-atom scattering factors, no anomalous dispersion.

Peak list (10 most intense, 5 to 70 degrees two-theta, in order of falling intensity)
| Position (°2θ) | I_rel |
| --- | --- |
| 38.2 | 100 |
| 42.3 | 61 |
| 33.7 | 59 |
| 59.7 | 31 |
| 40.0 | 25 |
| 20.8 | 20 |
| 61.4 | 20 |
| 31.7 | 12 |
| 44.0 | 12 |
| 30.6 | 8 |

Cell and atoms:
Lattice parameters (Å, degrees): 4.2718 4.2718 11.2606 90.00 90.00 90.00
Element x y z (fractional)
Sm  0.0000  0.0000  0.1957
Sm  0.0000  0.0000  0.8043
Ga  0.0000  0.5000  0.0000
Ga  0.0000  0.5000  0.3863
Ga  0.0000  0.5000  0.6137
Ga  0.5000  0.0000  0.0000
Ga  0.5000  0.0000  0.3863
Ga  0.5000  0.0000  0.6137
Ga  0.5000  0.5000  0.2017
Ga  0.5000  0.5000  0.7983
Co  0.0000  0.0000  0.5000

---

SmGa4Co: calculated X-ray powder pattern (λ = 1.5418 Å (Cu Kα)), based on the PBE geometry in OQMD.
Neutral-atom scattering factors, no anomalous dispersion.

Peak list (10 most intense, 5 to 70 degrees two-theta, in order of falling intensity)
| Position (°2θ) | I_rel |
| --- | --- |
| 35.7 | 100 |
| 35.9 | 85 |
| 43.8 | 38 |
| 37.1 | 30 |
| 38.6 | 29 |
| 44.5 | 27 |
| 64.2 | 21 |
| 39.3 | 16 |
| 58.7 | 15 |
| 30.8 | 11 |

Cell and atoms:
Lattice parameters (Å, degrees): 8.1143 8.1143 6.4836 90.00 90.00 150.49
Element x y z (fractional)
Sm  0.1166  0.8834  0.7500
Sm  0.8834  0.1166  0.2500
Ga  0.0758  0.9242  0.2500
Ga  0.3114  0.6886  0.5513
Ga  0.3114  0.6886  0.9487
Ga  0.5000  0.5000  0.0000
Ga  0.5000  0.5000  0.5000
Ga  0.6886  0.3114  0.0513
Ga  0.6886  0.3114  0.4487
Ga  0.9242  0.0758  0.7500
Co  0.2239  0.7761  0.2500
Co  0.7761  0.2239  0.7500